For CaW2O4, DFT lattice parameters and positions (PBE+U) gives the computed powder diffraction line list in this record (copper Kα).

Largest 10 diffraction maxima, in order of rising 2θ, 10° ≤ 2θ ≤ 90°:
index  2theta  I/Imax
1 1 1  16.4  97
3 1 1  31.7  100
2 2 2  33.1  61
4 0 0  38.4  50
3 3 1  42.0  20
5 1 1  50.6  40
4 4 0  55.4  49
5 3 1  58.2  22
6 2 2  66.1  30
5 5 3  78.4  21

Structural model:
a = 9.374 Å, b = 9.374 Å, c = 9.374 Å
α = 90.00°, β = 90.00°, γ = 90.00°
Space group Fd-3m (No. 227, origin choice 2)
Asymmetric unit:
Ca1 0.125 0.125 0.125 [8 per cell]
W1 0.000 0.000 0.500 [16 per cell]
O1 0.016 0.016 0.734 [32 per cell]